This entry pairs a crystal structure of Mg2Cr2O5 with its theoretical powder X-ray diffraction pattern. Radiation: Cu Kα (weighted mean of Kα1 and Kα2). Structure: a GGA+U-relaxed structure.

The 12 most intense peaks (15° ≤ 2θ ≤ 90°), by angle:
23.5°, d 3.780, I 319
24.2°, d 3.673, I 521
33.9°, d 2.644, I 592
34.0°, d 2.634, I 1000
35.2°, d 2.552, I 484
48.1°, d 1.890, I 416
49.6°, d 1.836, I 410
60.2°, d 1.538, I 192
60.7°, d 1.525, I 315
61.0°, d 1.519, I 167
62.4°, d 1.489, I 215
71.7°, d 1.317, I 233

Structural model:
a = 5.288 Å, b = 10.210 Å, c = 3.780 Å
α = 90.00°, β = 90.00°, γ = 90.00°
Element x y z (fractional)
Mg: 0.225 0.101 0.000
Mg: 0.275 0.601 0.000
Mg: 0.725 0.399 0.000
Mg: 0.775 0.899 0.000
Cr: 0.237 0.864 0.500
Cr: 0.263 0.364 0.500
Cr: 0.737 0.636 0.500
Cr: 0.763 0.136 0.500
O: 0.000 0.500 0.500
O: 0.136 0.187 0.500
O: 0.182 0.900 0.000
O: 0.318 0.400 0.000
O: 0.364 0.687 0.500
O: 0.500 0.000 0.500
O: 0.636 0.313 0.500
O: 0.682 0.600 0.000
O: 0.818 0.100 0.000
O: 0.864 0.813 0.500